The following is a computed powder diffraction line list of Ce2AgS2O2. It was derived from DFT lattice parameters and positions (GGA-PBE), using copper Kα.

Crystal structure
Lattice parameters (Å, degrees): 3.9989 3.9989 10.9655 90.00 90.00 120.00
Fractional coordinates of all 7 atoms:
Ce1 0.3333 0.6667 0.1373
Ce2 0.6667 0.3333 0.8627
Ag1 0.0000 0.0000 0.5000
S1 0.0000 0.0000 0.2852
S2 0.0000 0.0000 0.7148
O1 0.3333 0.6667 0.9256
O2 0.6667 0.3333 0.0744

The 10 most intense peaks (15 to 90 degrees two-theta), by intensity:
- 2θ 27.00, I 100
- 2θ 30.53, I 43
- 2θ 45.36, I 34
- 2θ 42.04, I 34
- 2θ 24.35, I 23
- 2θ 52.14, I 18
- 2θ 49.17, I 16
- 2θ 53.58, I 14
- 2θ 72.76, I 11
- 2θ 56.98, I 10

=====

The following is a computed powder diffraction line list of Ce2AgP. It was derived from DFT lattice parameters and positions (GGA-PBE), using copper Kα.

Crystal structure
Lattice parameters (Å, degrees): 8.0032 8.0032 8.0032 29.04 29.04 29.04
Fractional coordinates of all 4 atoms:
Ce1 0.2381 0.2381 0.2381
Ce2 0.7619 0.7619 0.7619
Ag1 0.0000 0.0000 0.0000
P1 0.5000 0.5000 0.5000

The 10 most intense peaks (15 to 90 degrees two-theta), by intensity:
- 2θ 30.05, I 100
- 2θ 40.75, I 36
- 2θ 45.18, I 34
- 2θ 58.53, I 20
- 2θ 55.22, I 17
- 2θ 32.29, I 17
- 2θ 74.02, I 14
- 2θ 26.80, I 13
- 2θ 67.62, I 11
- 2θ 62.46, I 10

=====

The following is a computed powder diffraction line list of Ce2AgPb3. It was derived from DFT lattice parameters and positions (GGA-PBE), using copper Kα.

Crystal structure
Lattice parameters (Å, degrees): 7.0457 7.0457 7.0457 138.86 125.00 70.93
Fractional coordinates of all 6 atoms:
Ce1 0.1828 0.1828 0.0000
Ce2 0.8172 0.8172 0.0000
Ag1 0.5000 0.5000 0.0000
Pb1 0.0000 0.5000 0.5000
Pb2 0.3564 0.8564 0.5000
Pb3 0.6436 0.1436 0.5000

The 10 most intense peaks (15 to 90 degrees two-theta), by intensity:
- 2θ 29.51, I 100
- 2θ 40.71, I 85
- 2θ 27.42, I 75
- 2θ 46.07, I 33
- 2θ 36.29, I 32
- 2θ 68.31, I 32
- 2θ 61.19, I 22
- 2θ 65.10, I 22
- 2θ 88.13, I 17
- 2θ 55.75, I 12

=====

The following is a computed powder diffraction line list of Ce2Ag3Pb. It was derived from DFT lattice parameters and positions (GGA-PBE), using copper Kα.

Crystal structure
Lattice parameters (Å, degrees): 10.0521 9.3100 6.0031 78.82 65.31 35.86
Fractional coordinates of all 12 atoms:
Ce1 0.2387 0.7613 0.7613
Ce2 0.2500 0.2500 0.2500
Ce3 0.7500 0.7500 0.7500
Ce4 0.7613 0.2387 0.2387
Ag1 0.1639 0.1639 0.8361
Ag2 0.1643 0.6731 0.3269
Ag3 0.3269 0.8357 0.1643
Ag4 0.6731 0.1643 0.8357
Ag5 0.8357 0.3269 0.6731
Ag6 0.8361 0.8361 0.1639
Pb1 0.3349 0.3349 0.6651
Pb2 0.6651 0.6651 0.3349

The 10 most intense peaks (15 to 90 degrees two-theta), by intensity:
- 2θ 34.16, I 100
- 2θ 35.74, I 99
- 2θ 50.27, I 33
- 2θ 63.21, I 33
- 2θ 68.11, I 29
- 2θ 64.22, I 17
- 2θ 45.42, I 10
- 2θ 85.72, I 10
- 2θ 55.87, I 9
- 2θ 27.09, I 8

=====

The following is a computed powder diffraction line list of CeAgPd14. It was derived from DFT lattice parameters and positions (GGA-PBE), using copper Kα.

Crystal structure
Lattice parameters (Å, degrees): 5.6959 5.6959 7.9663 90.00 90.00 90.00
Fractional coordinates of all 16 atoms:
Ce1 0.0000 0.0000 0.0000
Ag1 0.5000 0.5000 0.0000
Pd1 0.0000 0.0000 0.5000
Pd2 0.0000 0.5000 0.0000
Pd3 0.0000 0.5000 0.5000
Pd4 0.2500 0.2500 0.2549
Pd5 0.2500 0.2500 0.7451
Pd6 0.2500 0.7500 0.2549
Pd7 0.2500 0.7500 0.7451
Pd8 0.5000 0.0000 0.0000
Pd9 0.5000 0.0000 0.5000
Pd10 0.5000 0.5000 0.5000
Pd11 0.7500 0.2500 0.2549
Pd12 0.7500 0.2500 0.7451
Pd13 0.7500 0.7500 0.2549
Pd14 0.7500 0.7500 0.7451

The 8 most intense peaks (15 to 90 degrees two-theta), by intensity:
- 2θ 38.87, I 100
- 2θ 45.02, I 33
- 2θ 78.91, I 24
- 2θ 65.97, I 20
- 2θ 45.55, I 16
- 2θ 79.68, I 12
- 2θ 83.45, I 11
- 2θ 65.56, I 10

=====

The following is a computed powder diffraction line list of Sr2CeAgPd6. It was derived from DFT lattice parameters and positions (GGA-PBE), using copper Kα.

Crystal structure
Lattice parameters (Å, degrees): 7.1458 7.1458 7.1458 60.00 60.00 60.00
Fractional coordinates of all 10 atoms:
Sr1 0.2500 0.2500 0.2500
Sr2 0.7500 0.7500 0.7500
Ce1 0.0000 0.0000 0.0000
Ag1 0.5000 0.5000 0.5000
Pd1 0.2461 0.2461 0.7539
Pd2 0.2461 0.7539 0.2461
Pd3 0.2461 0.7539 0.7539
Pd4 0.7539 0.2461 0.2461
Pd5 0.7539 0.2461 0.7539
Pd6 0.7539 0.7539 0.2461

The 10 most intense peaks (15 to 90 degrees two-theta), by intensity:
- 2θ 35.53, I 100
- 2θ 51.13, I 69
- 2θ 30.65, I 57
- 2θ 17.55, I 43
- 2θ 86.05, I 31
- 2θ 63.81, I 23
- 2θ 60.80, I 23
- 2θ 39.90, I 21
- 2θ 24.92, I 19
- 2θ 75.22, I 11

=====

The following is a computed powder diffraction line list of CePmPrAg. It was derived from DFT lattice parameters and positions (GGA-PBE), using copper Kα.

Crystal structure
Lattice parameters (Å, degrees): 5.4581 5.4581 5.4581 60.00 60.00 60.00
Fractional coordinates of all 4 atoms:
Ce1 0.0000 0.0000 0.0000
Pm1 0.2500 0.2500 0.2500
Pr1 0.5000 0.5000 0.5000
Ag1 0.7500 0.7500 0.7500

The 8 most intense peaks (15 to 90 degrees two-theta), by intensity:
- 2θ 32.82, I 100
- 2θ 58.59, I 37
- 2θ 47.09, I 18
- 2θ 78.34, I 16
- 2θ 68.80, I 11
- 2θ 87.57, I 4
- 2θ 19.92, I 1
- 2θ 38.69, I 1

=====

The following is a computed powder diffraction line list of Ce2PmAg2Sn2. It was derived from DFT lattice parameters and positions (GGA-PBE), using copper Kα.

Crystal structure
Lattice parameters (Å, degrees): 9.5500 9.5500 9.5500 28.68 28.68 28.68
Fractional coordinates of all 7 atoms:
Ce1 0.1437 0.1437 0.1437
Ce2 0.8563 0.8563 0.8563
Pm1 0.0000 0.0000 0.0000
Ag1 0.4214 0.4214 0.4214
Ag2 0.5786 0.5786 0.5786
Sn1 0.2668 0.2668 0.2668
Sn2 0.7332 0.7332 0.7332

The 10 most intense peaks (15 to 90 degrees two-theta), by intensity:
- 2θ 31.58, I 100
- 2θ 38.05, I 75
- 2θ 50.26, I 27
- 2θ 64.73, I 25
- 2θ 68.75, I 13
- 2θ 51.68, I 13
- 2θ 34.08, I 13
- 2θ 89.90, I 11
- 2θ 55.92, I 9
- 2θ 64.36, I 8

=====

The following is a computed powder diffraction line list of CePrAg4. It was derived from DFT lattice parameters and positions (GGA-PBE), using copper Kα.

Crystal structure
Lattice parameters (Å, degrees): 9.1458 9.1458 4.9093 90.00 90.00 136.97
Fractional coordinates of all 12 atoms:
Ce1 0.1283 0.8717 0.7500
Ce2 0.8717 0.1283 0.2500
Pr1 0.3783 0.6217 0.2500
Pr2 0.6217 0.3783 0.7500
Ag1 0.0390 0.4556 0.7500
Ag2 0.1939 0.2773 0.7500
Ag3 0.2773 0.1939 0.2500
Ag4 0.4556 0.0390 0.2500
Ag5 0.5444 0.9610 0.7500
Ag6 0.7227 0.8061 0.7500
Ag7 0.8061 0.7227 0.2500
Ag8 0.9610 0.5444 0.2500

The 10 most intense peaks (15 to 90 degrees two-theta), by intensity:
- 2θ 34.04, I 100
- 2θ 36.60, I 86
- 2θ 50.84, I 31
- 2θ 64.26, I 30
- 2θ 67.65, I 26
- 2θ 65.89, I 14
- 2θ 87.71, I 13
- 2θ 77.80, I 9
- 2θ 54.73, I 8
- 2θ 45.80, I 4

=====

The following is a computed powder diffraction line list of CePrZnAg. It was derived from DFT lattice parameters and positions (GGA-PBE), using copper Kα.

Crystal structure
Lattice parameters (Å, degrees): 3.7509 3.7509 7.2869 90.00 90.00 90.00
Fractional coordinates of all 4 atoms:
Ce1 0.0000 0.0000 0.0000
Pr1 0.0000 0.0000 0.4800
Zn1 0.5000 0.5000 0.2328
Ag1 0.5000 0.5000 0.7460

The 10 most intense peaks (15 to 90 degrees two-theta), by intensity:
- 2θ 34.31, I 100
- 2θ 33.80, I 53
- 2θ 60.79, I 37
- 2θ 48.54, I 19
- 2θ 61.78, I 17
- 2θ 72.31, I 11
- 2θ 81.07, I 8
- 2θ 50.07, I 8
- 2θ 81.37, I 8
- 2θ 83.70, I 7

=====

The following is a computed powder diffraction line list of Ce6AgPt3. It was derived from DFT lattice parameters and positions (GGA-PBE), using copper Kα.

Crystal structure
Lattice parameters (Å, degrees): 7.6191 7.2619 11.0551 90.00 121.80 90.00
Fractional coordinates of all 20 atoms:
Ce1 0.0029 0.1260 0.2567
Ce2 0.0029 0.3740 0.7567
Ce3 0.2030 0.6424 0.0888
Ce4 0.2030 0.8576 0.5888
Ce5 0.3864 0.1489 0.0977
Ce6 0.3864 0.3511 0.5977
Ce7 0.6136 0.6489 0.4023
Ce8 0.6136 0.8511 0.9023
Ce9 0.7970 0.1424 0.4112
Ce10 0.7970 0.3576 0.9112
Ce11 0.9971 0.6260 0.2433
Ce12 0.9971 0.8740 0.7433
Ag1 0.5000 0.0000 0.5000
Ag2 0.5000 0.5000 0.0000
Pt1 0.0000 0.0000 0.0000
Pt2 0.0000 0.5000 0.5000
Pt3 0.3698 0.1693 0.8250
Pt4 0.3698 0.3307 0.3250
Pt5 0.6302 0.6693 0.6750
Pt6 0.6302 0.8307 0.1750

The 10 most intense peaks (15 to 90 degrees two-theta), by intensity:
- 2θ 32.07, I 100
- 2θ 33.01, I 79
- 2θ 39.10, I 77
- 2θ 30.22, I 69
- 2θ 36.98, I 64
- 2θ 27.16, I 41
- 2θ 41.06, I 40
- 2θ 45.69, I 27
- 2θ 41.81, I 26
- 2θ 39.59, I 26

=====

The following is a computed powder diffraction line list of RbCe4Ag3Se12. It was derived from DFT lattice parameters and positions (GGA-PBE), using copper Kα.

Crystal structure
Lattice parameters (Å, degrees): 9.1232 9.1232 9.1232 109.47 109.47 109.47
Fractional coordinates of all 20 atoms:
Rb1 0.0000 0.0000 0.0000
Ce1 0.0000 0.0000 0.5000
Ce2 0.0000 0.5000 0.0000
Ce3 0.5000 0.0000 0.0000
Ce4 0.5000 0.5000 0.5000
Ag1 0.0000 0.5000 0.5000
Ag2 0.5000 0.0000 0.5000
Ag3 0.5000 0.5000 0.0000
Se1 0.1509 0.8344 0.3166
Se2 0.1656 0.3166 0.4822
Se3 0.1656 0.6834 0.8491
Se4 0.3166 0.1509 0.8344
Se5 0.3166 0.4822 0.1656
Se6 0.4822 0.1656 0.3166
Se7 0.5178 0.8344 0.6834
Se8 0.6834 0.5178 0.8344
Se9 0.6834 0.8491 0.1656
Se10 0.8344 0.3166 0.1509
Se11 0.8344 0.6834 0.5178
Se12 0.8491 0.1656 0.6834

The 10 most intense peaks (15 to 90 degrees two-theta), by intensity:
- 2θ 42.02, I 100
- 2θ 23.89, I 78
- 2θ 26.76, I 50
- 2θ 76.77, I 39
- 2θ 34.04, I 37
- 2θ 31.78, I 28
- 2θ 55.14, I 25
- 2θ 50.52, I 22
- 2θ 66.41, I 22
- 2θ 48.91, I 14